1.
The following is a calculated X-ray powder pattern of La2SmCu2Si2. It was derived from a DFT-relaxed cell (PBE, Alexandria), using Cu Kα (λ = 1.5418 Å).

Cell and atoms:
```
data_La2SmCu2Si2
_cell_length_a 4.2314
_cell_length_b 4.2314
_cell_length_c 29.5868
_cell_angle_alpha 90.00
_cell_angle_beta 90.00
_cell_angle_gamma 120.00
_symmetry_space_group_name_H-M 'R -3 m'
_symmetry_Int_Tables_number 166
_symmetry_space_group_name_Hall '-R 3 2"'
loop_
_atom_site_label
_atom_site_type_symbol
_atom_site_fract_x
_atom_site_fract_y
_atom_site_fract_z
La1 La 0.0000 0.0000 0.1297
Sm1 Sm 0.0000 0.0000 0.0000
Cu1 Cu 0.0000 0.0000 0.3987
Si1 Si 0.0000 0.0000 0.2671
```

Top 10 peaks for 2θ = 10–90°, by angle:
3.637 Å, I 45, (1 0 1)
3.284 Å, I 28, (1 0 4)
2.769 Å, I 96, (1 0 7)
2.603 Å, I 100, (0 1 8)
2.116 Å, I 82, (1 1 0)
1.972 Å, I 21, (0 0 15)
1.681 Å, I 21, (0 2 7)
1.642 Å, I 25, (2 0 8)
1.443 Å, I 44, (1 1 15)
1.297 Å, I 23, (1 2 8)



2.
The following is a calculated X-ray powder pattern of LaSmCu2. It was derived from a DFT-relaxed cell (PBE, Alexandria), using Cu Kα (λ = 1.5418 Å).

Cell and atoms:
```
data_LaSmCu2
_cell_length_a 3.5914
_cell_length_b 3.5914
_cell_length_c 7.2218
_cell_angle_alpha 90.00
_cell_angle_beta 90.00
_cell_angle_gamma 90.00
_symmetry_space_group_name_H-M 'P 4/m m m'
_symmetry_Int_Tables_number 123
_symmetry_space_group_name_Hall '-P 4 2'
loop_
_atom_site_label
_atom_site_type_symbol
_atom_site_fract_x
_atom_site_fract_y
_atom_site_fract_z
La1 La 0.0000 0.0000 0.0000
Sm1 Sm 0.0000 0.0000 0.5000
Cu1 Cu 0.5000 0.5000 0.2676
```

Top 10 peaks for 2θ = 10–90°, by angle:
3.611 Å, I 5, (0 0 2)
3.591 Å, I 10, (1 0 0)
2.544 Å, I 100, (1 1 0)
2.077 Å, I 5, (1 1 2)
1.805 Å, I 6, (0 0 4)
1.796 Å, I 12, (2 0 0)
1.471 Å, I 11, (1 1 4)
1.467 Å, I 23, (2 1 2)
1.273 Å, I 7, (2 0 4)
1.136 Å, I 10, (3 1 0)



3.
The following is a calculated X-ray powder pattern of LaSm2Cu9. It was derived from a DFT-relaxed cell (PBE, Alexandria), using Cu Kα (λ = 1.5418 Å).

Cell and atoms:
```
data_LaSm2Cu9
_cell_length_a 5.3127
_cell_length_b 5.3127
_cell_length_c 16.5521
_cell_angle_alpha 90.00
_cell_angle_beta 90.00
_cell_angle_gamma 120.00
_symmetry_space_group_name_H-M 'P 63/m m c'
_symmetry_Int_Tables_number 194
_symmetry_space_group_name_Hall '-P 6c 2c'
loop_
_atom_site_label
_atom_site_type_symbol
_atom_site_fract_x
_atom_site_fract_y
_atom_site_fract_z
La1 La 0.3333 0.6667 0.2500
Sm1 Sm 0.3333 0.6667 0.0321
Cu1 Cu 0.0000 0.0000 0.0000
Cu2 Cu 0.0000 0.0000 0.2500
Cu3 Cu 0.1657 0.3314 0.6273
Cu4 Cu 0.3333 0.6667 0.7500
```

Top 10 peaks for 2θ = 10–90°, by angle:
2.687 Å, I 48, (1 0 5)
2.656 Å, I 44, (1 1 0)
2.279 Å, I 30, (2 0 1)
2.235 Å, I 100, (1 1 4)
2.123 Å, I 20, (2 0 3)
2.103 Å, I 13, (1 0 7)
2.069 Å, I 15, (0 0 8)
1.539 Å, I 19, (2 1 5)
1.437 Å, I 41, (3 0 4)
1.328 Å, I 21, (2 2 0)



4.
The following is a calculated X-ray powder pattern of LaSmYCu. It was derived from a DFT-relaxed cell (PBE, Alexandria), using Cu Kα (λ = 1.5418 Å).

Cell and atoms:
```
data_LaSmYCu
_cell_length_a 3.5801
_cell_length_b 3.5801
_cell_length_c 8.8656
_cell_angle_alpha 90.00
_cell_angle_beta 90.00
_cell_angle_gamma 90.00
_symmetry_space_group_name_H-M 'P 4 m m'
_symmetry_Int_Tables_number 99
loop_
_symmetry_equiv_pos_as_xyz
'x,y,z'
'-y,x,z'
'-x,-y,z'
'y,-x,z'
'-x,y,z'
'y,x,z'
'x,-y,z'
'-y,-x,z'
loop_
_atom_site_label
_atom_site_type_symbol
_atom_site_fract_x
_atom_site_fract_y
_atom_site_fract_z
La1 La 0.0000 0.0000 0.0000
Sm1 Sm 0.5000 0.5000 0.6896
Y1 Y 0.5000 0.5000 0.3098
Cu1 Cu 0.0000 0.0000 0.4923
```

Top 10 peaks for 2θ = 10–90°, by angle:
3.320 Å, I 30, (1 0 1)
2.955 Å, I 16, (0 0 3)
2.785 Å, I 100, (1 0 2)
2.532 Å, I 52, (1 1 0)
1.923 Å, I 19, (1 1 3)
1.790 Å, I 18, (2 0 0)
1.589 Å, I 11, (1 0 5)
1.531 Å, I 9, (2 0 3)
1.506 Å, I 30, (2 1 2)
1.132 Å, I 10, (3 1 0)



5.
The following is a calculated X-ray powder pattern of La3Cu3Sn4. It was derived from a DFT-relaxed cell (PBE, Alexandria), using Cu Kα (λ = 1.5418 Å).

Cell and atoms:
```
data_La3Cu3Sn4
_cell_length_a 9.9393
_cell_length_b 9.9393
_cell_length_c 9.9393
_cell_angle_alpha 90.00
_cell_angle_beta 90.00
_cell_angle_gamma 90.00
_symmetry_space_group_name_H-M 'I -4 3 d'
_symmetry_Int_Tables_number 220
_symmetry_space_group_name_Hall 'I -4bd 2c 3'
loop_
_atom_site_label
_atom_site_type_symbol
_atom_site_fract_x
_atom_site_fract_y
_atom_site_fract_z
La1 La 0.0000 0.2500 0.8750
Cu1 Cu 0.0000 0.2500 0.3750
Sn1 Sn 0.0770 0.4230 0.5770
```

Top 10 peaks for 2θ = 10–90°, by angle:
3.143 Å, I 54, (3 1 0)
2.656 Å, I 100, (3 2 1)
2.222 Å, I 34, (4 2 0)
2.119 Å, I 12, (3 3 2)
2.029 Å, I 18, (4 2 2)
1.949 Å, I 15, (4 3 1)
1.612 Å, I 18, (6 1 1)
1.572 Å, I 15, (6 2 0)
1.534 Å, I 10, (5 4 1)
1.353 Å, I 16, (5 5 2)



6.
The following is a calculated X-ray powder pattern of SrLaCu2. It was derived from a DFT-relaxed cell (PBE, Alexandria), using Cu Kα (λ = 1.5418 Å).

Cell and atoms:
```
data_SrLaCu2
_cell_length_a 3.7276
_cell_length_b 3.7500
_cell_length_c 7.4231
_cell_angle_alpha 90.00
_cell_angle_beta 90.00
_cell_angle_gamma 90.00
_symmetry_space_group_name_H-M 'P m m m'
_symmetry_Int_Tables_number 47
loop_
_symmetry_equiv_pos_as_xyz
'x,y,z'
'-x,-y,-z'
'-x,-y,z'
'x,y,-z'
'x,-y,-z'
'-x,y,z'
'-x,y,-z'
'x,-y,z'
loop_
_atom_site_label
_atom_site_type_symbol
_atom_site_fract_x
_atom_site_fract_y
_atom_site_fract_z
Sr1 Sr 0.0000 0.0000 0.0000
La1 La 0.0000 0.0000 0.5000
Cu1 Cu 0.5000 0.5000 0.2912
```

Top 10 peaks for 2θ = 10–90°, by angle:
7.423 Å, I 16, (0 0 1)
2.641 Å, I 100, (1 1 0)
2.630 Å, I 47, (1 0 2)
2.063 Å, I 8, (1 0 3)
1.875 Å, I 9, (0 2 0)
1.864 Å, I 9, (2 0 0)
1.527 Å, I 17, (1 2 2)
1.522 Å, I 17, (2 1 2)
1.519 Å, I 12, (1 1 4)
1.185 Å, I 8, (1 3 0)



7.
The following is a calculated X-ray powder pattern of LaTb5Cu4. It was derived from a DFT-relaxed cell (PBE, Alexandria), using Cu Kα (λ = 1.5418 Å).

Cell and atoms:
```
data_LaTb5Cu4
_cell_length_a 3.4873
_cell_length_b 3.4873
_cell_length_c 19.5152
_cell_angle_alpha 90.00
_cell_angle_beta 90.00
_cell_angle_gamma 90.00
_symmetry_space_group_name_H-M 'P 4/m m m'
_symmetry_Int_Tables_number 123
_symmetry_space_group_name_Hall '-P 4 2'
loop_
_atom_site_label
_atom_site_type_symbol
_atom_site_fract_x
_atom_site_fract_y
_atom_site_fract_z
La1 La 0.0000 0.0000 0.0000
Tb1 Tb 0.5000 0.5000 0.1431
Tb2 Tb 0.5000 0.5000 0.3200
Tb3 Tb 0.5000 0.5000 0.5000
Cu1 Cu 0.0000 0.0000 0.2296
Cu2 Cu 0.0000 0.0000 0.4096
```

Top 10 peaks for 2θ = 10–90°, by angle:
3.487 Å, I 21, (1 0 0)
3.253 Å, I 19, (0 0 6)
2.837 Å, I 23, (1 0 4)
2.601 Å, I 100, (1 0 5)
2.466 Å, I 90, (1 1 0)
2.379 Å, I 60, (1 0 6)
1.965 Å, I 19, (1 1 6)
1.744 Å, I 31, (2 0 0)
1.448 Å, I 32, (2 1 5)
1.406 Å, I 22, (2 1 6)



8.
The following is a calculated X-ray powder pattern of LaTbZnCu. It was derived from a DFT-relaxed cell (PBE, Alexandria), using Cu Kα (λ = 1.5418 Å).

Cell and atoms:
```
data_LaTbZnCu
_cell_length_a 3.6087
_cell_length_b 3.6087
_cell_length_c 7.3060
_cell_angle_alpha 90.00
_cell_angle_beta 90.00
_cell_angle_gamma 90.00
_symmetry_space_group_name_H-M 'P 4 m m'
_symmetry_Int_Tables_number 99
loop_
_symmetry_equiv_pos_as_xyz
'x,y,z'
'-y,x,z'
'-x,-y,z'
'y,-x,z'
'-x,y,z'
'y,x,z'
'x,-y,z'
'-y,-x,z'
loop_
_atom_site_label
_atom_site_type_symbol
_atom_site_fract_x
_atom_site_fract_y
_atom_site_fract_z
La1 La 0.0000 0.0000 0.0000
Tb1 Tb 0.0000 0.0000 0.4863
Zn1 Zn 0.5000 0.5000 0.7223
Cu1 Cu 0.5000 0.5000 0.2774
```

Top 10 peaks for 2θ = 10–90°, by angle:
3.653 Å, I 9, (0 0 2)
3.609 Å, I 16, (1 0 0)
2.567 Å, I 100, (1 0 2)
2.552 Å, I 51, (1 1 0)
2.092 Å, I 8, (1 1 2)
1.804 Å, I 18, (2 0 0)
1.485 Å, I 16, (1 1 4)
1.476 Å, I 35, (2 1 2)
1.284 Å, I 10, (2 0 4)
1.141 Å, I 8, (3 1 0)